1.
Diffraction record for LiBeAlF6. The PXRD pattern is simulated, not measured: it uses the PBE geometry in Alexandria and Cu Kα (weighted mean of Kα1 and Kα2).
Peak positions follow from Bragg's law for the DFT cell and can differ from measured ones.

Most intense lines, 2θ from 10° to 90°, by intensity:
two_theta	Rel. int.
43.35	100
19.68	47
56.50	41
21.79	21
69.09	21
29.53	20

Atomic structure:
Lattice parameters (Å, degrees): 4.710 4.710 9.021 90.00 90.00 120.00
Fractional positions:
Li (0.000, 0.000, 0.000)
Li (0.000, 0.000, 0.500)
Be (0.333, 0.667, 0.250)
Be (0.667, 0.333, 0.750)
Al (0.333, 0.667, 0.750)
Al (0.667, 0.333, 0.250)
F (0.008, 0.365, 0.141)
F (0.008, 0.643, 0.359)
F (0.357, 0.365, 0.359)
F (0.357, 0.992, 0.141)
F (0.365, 0.008, 0.641)
F (0.365, 0.357, 0.859)
F (0.635, 0.643, 0.141)
F (0.635, 0.992, 0.359)
F (0.643, 0.008, 0.859)
F (0.643, 0.635, 0.641)
F (0.992, 0.357, 0.641)
F (0.992, 0.635, 0.859)


2.
Diffraction record for Na2Np2O7. The PXRD pattern is simulated, not measured: it uses the PBE geometry in Alexandria and Cu Kα (weighted mean of Kα1 and Kα2).
Peak positions follow from Bragg's law for the DFT cell and can differ from measured ones.

Most intense lines, 2θ from 10° to 90°, by intensity:
two_theta	Rel. int.
27.43	100
13.99	92
28.19	90
32.23	72
15.95	67
22.63	58

Atomic structure:
Lattice parameters (Å, degrees): 7.861 7.861 7.861 118.66 90.03 121.33
Fractional positions:
Na (0.000, 0.000, 0.000)
Na (0.500, 0.000, 0.000)
Na (0.500, 0.000, 0.500)
Na (0.500, 0.500, 0.500)
Np (0.000, 0.000, 0.500)
Np (0.000, 0.500, 0.000)
Np (0.000, 0.500, 0.500)
Np (0.500, 0.500, 0.000)
O (0.057, 0.229, 0.416)
O (0.057, 0.641, 0.828)
O (0.080, 0.830, 0.250)
O (0.295, 0.719, 0.576)
O (0.313, 0.229, 0.672)
O (0.313, 0.641, 0.084)
O (0.356, 0.281, 0.076)
O (0.644, 0.719, 0.924)
O (0.687, 0.359, 0.916)
O (0.687, 0.771, 0.328)
O (0.705, 0.281, 0.424)
O (0.920, 0.170, 0.750)
O (0.943, 0.359, 0.172)
O (0.943, 0.771, 0.584)


Please write out number 2 again, unchanged.
Diffraction record for Na2Np2O7. The PXRD pattern is simulated, not measured: it uses the PBE geometry in Alexandria and Cu Kα (weighted mean of Kα1 and Kα2).
Peak positions follow from Bragg's law for the DFT cell and can differ from measured ones.

Most intense lines, 2θ from 10° to 90°, by intensity:
two_theta	Rel. int.
27.43	100
13.99	92
28.19	90
32.23	72
15.95	67
22.63	58

Atomic structure:
Lattice parameters (Å, degrees): 7.861 7.861 7.861 118.66 90.03 121.33
Fractional positions:
Na (0.000, 0.000, 0.000)
Na (0.500, 0.000, 0.000)
Na (0.500, 0.000, 0.500)
Na (0.500, 0.500, 0.500)
Np (0.000, 0.000, 0.500)
Np (0.000, 0.500, 0.000)
Np (0.000, 0.500, 0.500)
Np (0.500, 0.500, 0.000)
O (0.057, 0.229, 0.416)
O (0.057, 0.641, 0.828)
O (0.080, 0.830, 0.250)
O (0.295, 0.719, 0.576)
O (0.313, 0.229, 0.672)
O (0.313, 0.641, 0.084)
O (0.356, 0.281, 0.076)
O (0.644, 0.719, 0.924)
O (0.687, 0.359, 0.916)
O (0.687, 0.771, 0.328)
O (0.705, 0.281, 0.424)
O (0.920, 0.170, 0.750)
O (0.943, 0.359, 0.172)
O (0.943, 0.771, 0.584)